This entry pairs a crystal structure of SrAs2O6 with its computed X-ray diffraction stick pattern. Radiation: copper Kα. Structure: a DFT-relaxed cell (PBE, the Materials Project).

Most intense lines, 10° ≤ 2θ ≤ 90°, by intensity:
d [Å], I_rel, (hkl)
3.385, 100, 1 0 1
1.843, 45, 1 1 2
2.474, 28, 1 1 0
5.523, 21, 0 0 1
1.554, 19, 2 1 1
1.997, 18, 2 0 1
1.428, 11, 3 0 0
1.692, 11, 1 0 3
1.206, 10, 2 -1 4
2.762, 9, 0 0 2

Structural model:
Cell lengths 4.9471, 4.9471, 5.5233 Å; angles 90.00, 90.00, 120.00 degrees
Space group P-31m (No. 162)
Inequivalent atoms, fractional coordinates:
Sr1 0.0000 0.0000 0.0000
As1 0.3333 0.6667 0.5000
O1 0.0000 0.3825 0.3085



This entry pairs a crystal structure of Al2Mo3 with its computed X-ray diffraction stick pattern. Radiation: copper Kα. Structure: a DFT-relaxed cell (PBE, the Materials Project).

Most intense lines, 10° ≤ 2θ ≤ 90°, by intensity:
d [Å], I_rel, (hkl)
2.211, 100, 1 2 -3
2.187, 86, 1 4 0
2.421, 80, 2 1 2
2.174, 73, 2 2 -3
2.240, 73, 4 1 -2
2.256, 71, 2 3 -2
4.499, 57, 0 2 0
2.365, 50, 4 1 -1
2.149, 48, 1 3 2
3.759, 48, 1 2 -1

Structural model:
Cell lengths 9.8041, 8.9980, 7.6282 Å; angles 90.00, 107.94, 90.00 degrees
Space group P2_1/c (No. 14)
Inequivalent atoms, fractional coordinates:
Al1 0.0237 0.0100 0.2013
Al2 0.1766 0.0360 0.5816
Al3 0.2513 0.5984 0.4342
Al4 0.4292 0.1212 0.5316
Mo1 0.0521 0.7355 0.0180
Mo2 0.1591 0.2251 0.8451
Mo3 0.2802 0.6185 0.8148
Mo4 0.3110 0.1381 0.1622
Mo5 0.3928 0.6655 0.1879
Mo6 0.4458 0.1055 0.8858



This entry pairs a crystal structure of Sm3Si2S8Br with its computed X-ray diffraction stick pattern. Radiation: copper Kα. Structure: a DFT-relaxed cell (PBE, the Materials Project).

Most intense lines, 10° ≤ 2θ ≤ 90°, by intensity:
d [Å], I_rel, (hkl)
5.381, 100, 0 0 2
2.715, 85, 4 2 -1
3.607, 78, 0 2 1
2.290, 77, 4 2 -3
2.601, 73, 6 0 0
3.833, 63, 3 1 1
2.213, 58, 6 0 2
2.563, 53, 1 1 -4
3.403, 53, 4 0 -2
2.385, 40, 4 0 -4

Structural model:
Cell lengths 15.7566, 7.6564, 10.8812 Å; angles 90.00, 98.49, 90.00 degrees
Space group C2/c (No. 15)
Inequivalent atoms, fractional coordinates:
Sm1 0.0000 0.1186 0.2500
Sm2 0.1988 0.3758 0.6831
Si1 0.1588 0.0352 0.0274
S1 0.0666 0.1619 0.5423
S2 0.1442 0.2522 0.1439
S3 0.1468 0.0941 0.8347
S4 0.2163 0.4303 0.4134
Br1 0.0000 0.4937 0.7500



This entry pairs a crystal structure of SrMn2N2 with its computed X-ray diffraction stick pattern. Radiation: copper Kα. Structure: a DFT-relaxed cell (PBE, the Materials Project).

Most intense lines, 10° ≤ 2θ ≤ 90°, by intensity:
d [Å], I_rel, (hkl)
2.548, 100, 1 3 -1
2.501, 43, 2 2 1
2.342, 35, 3 1 0
2.367, 32, 2 0 -2
2.494, 22, 1 3 1
1.798, 15, 0 2 3
3.000, 11, 2 0 1
3.588, 11, 0 2 1
1.808, 11, 2 4 1
2.937, 10, 0 0 2

Structural model:
Cell lengths 7.2918, 9.0614, 5.8891 Å; angles 90.00, 94.00, 90.00 degrees
Space group C2/m (No. 12)
Inequivalent atoms, fractional coordinates:
Sr1 0.0000 0.0000 0.0000
Sr2 0.0000 0.1957 0.5000
Mn1 0.1155 0.5000 0.7012
Mn2 0.1608 0.3543 0.0937
N1 0.1684 0.5000 0.3384
N2 0.2491 0.1737 0.2044



This entry pairs a crystal structure of KRb2InF6 with its computed X-ray diffraction stick pattern. Radiation: copper Kα. Structure: a DFT-relaxed cell (PBE, the Materials Project).

Most intense lines, 10° ≤ 2θ ≤ 90°, by intensity:
d [Å], I_rel, (hkl)
3.278, 100, 0 2 0
1.893, 44, 2 0 2
2.318, 36, 0 0 4
5.353, 23, 1 0 0
1.639, 19, 2 2 -6
1.239, 14, 3 1 -9
1.466, 12, 1 1 -7
2.796, 9, 1 0 2
1.092, 7, 5 3 -7
1.238, 7, 5 1 -7

Structural model:
Cell lengths 6.5551, 6.5513, 11.3574 Å; angles 90.00, 125.20, 90.00 degrees
Space group P2_1/c (No. 14)
Inequivalent atoms, fractional coordinates:
K1 0.0000 0.0000 0.0000
Rb1 0.2505 0.0280 0.7488
In1 0.5000 0.0000 0.5000
F1 0.2108 0.0164 0.2767
F2 0.2714 0.6829 0.0335
F3 0.3564 0.2349 0.0355